For NaLiNiO2, a cell relaxed with PBE+U gives the theoretical powder X-ray diffraction pattern in this record (CuKα).

Atomic structure:
Cell lengths 6.3993, 6.3993, 4.2830 Å; angles 90.00, 90.00, 130.11 degrees
Element x y z (fractional)
Na 0.2500 0.7500 0.7951
Na 0.7500 0.2500 0.2049
Li 0.0000 0.0000 0.5000
Li 0.5000 0.5000 0.5000
Ni 0.2500 0.2500 0.0000
Ni 0.7500 0.7500 0.0000
O 0.1067 0.8933 0.1810
O 0.3933 0.6067 0.1810
O 0.6067 0.3933 0.8190
O 0.8933 0.1067 0.8190

Peak list (10 most intense, 2θ from 5° to 70°, in order of falling intensity)
2θ/deg  d [Å]  intensity
20.7  4.283  1000
15.3  5.802  908
25.9  3.446  552
42.5  2.125  482
36.7  2.447  401
35.4  2.535  385
50.9  1.794  281
45.1  2.009  273
30.8  2.901  225
54.7  1.678  194